For Sr3CoC3N3, a crystal structure in the Materials Project, relaxed with GGA-PBE gives the computed powder X-ray diffraction pattern in this record (Cu Kα X-rays).

Main lines, sorted by position (2θ = 10–90°):
2theta, Rel. int., h k l
26.21, 100.0, 1 1 1
28.80, 57.6, 2 0 1
31.36, 61.6, 1 2 0
32.97, 63.8, 0 0 2
35.69, 62.1, 3 0 0
49.37, 47.0, 3 0 2

Cell and atoms:
```
Sr3CoC3N3
1.0
8.716 0.000 0.000
-4.358 7.548 0.000
0.000 0.000 5.433
Sr Co C N
6 2 6 6
direct
0.065 0.373 0.250
0.307 0.935 0.250
0.373 0.307 0.750
0.627 0.693 0.250
0.693 0.065 0.750
0.935 0.627 0.750
0.333 0.667 0.750
0.667 0.333 0.250
0.148 0.451 0.750
0.303 0.852 0.750
0.451 0.303 0.250
0.549 0.697 0.750
0.697 0.148 0.250
0.852 0.549 0.250
0.023 0.296 0.750
0.272 0.977 0.750
0.296 0.272 0.250
0.704 0.728 0.750
0.728 0.023 0.250
0.977 0.704 0.250
```